Tl3NiTe2O8: calculated powder X-ray diffraction pattern (Cu Kα (λ = 1.5418 Å)), based on a structure optimized by DFT (GGA+U).
Kinematic intensities with the Lorentz-polarization factor, no thermal factor.

Structure:
Cell: 6.0987 6.0987 7.7706 Å, 90.00 90.00 120.00°
Fractional coordinates of all 14 atoms:
Tl: 0.0000 0.0000 0.0000
Tl: 0.3333 0.6667 0.7240
Tl: 0.6667 0.3333 0.2760
Ni: 0.0000 0.0000 0.5000
Te: 0.3333 0.6667 0.2766
Te: 0.6667 0.3333 0.7234
O: 0.1572 0.3144 0.3305
O: 0.1572 0.8428 0.3305
O: 0.3144 0.1572 0.6695
O: 0.3333 0.6667 0.0380
O: 0.6667 0.3333 0.9620
O: 0.6856 0.8428 0.3305
O: 0.8428 0.1572 0.6695
O: 0.8428 0.6856 0.6695

Principal peaks in the range 5° ≤ 2θ ≤ 70°, in order of rising 2θ:
2θ/deg  Rel. int.  (hkl)
20.3  19  1 0 1
28.5  76  0 1 2
29.3  100  1 1 0
35.9  11  0 2 1
37.5  11  1 1 2
41.3  34  2 0 2
46.0  13  1 1 3
51.5  31  1 2 2
51.9  20  3 0 0
56.1  25  1 1 4
60.7  16  2 2 0
68.4  13  3 1 2